Record 1
The following is a theoretical XRD peak list of Tb4PmPd2. It was derived from a DFT-relaxed cell (GGA-PBE, Alexandria), using Cu Ka.

Principal peaks in the range 10° ≤ 2θ ≤ 90°, most intense first:
2θ = 32.61°, 2.746 Å, rel. 100; 2θ = 27.69°, 3.222 Å, rel. 49; 2θ = 45.61°, 1.989 Å, rel. 40; 2θ = 47.93°, 1.898 Å, rel. 33; 2θ = 57.20°, 1.610 Å, rel. 25; 2θ = 76.04°, 1.252 Å, rel. 20

```
data_Tb4PmPd2
_chemical_formula_sum 'Tb12 Pm3 Pd6'
_symmetry_space_group_name_H-M 'R -3 m'
_symmetry_Int_Tables_number 166
_symmetry_space_group_name_Hall '-R 3 2"'
_cell_length_a 3.9779
_cell_length_b 3.9779
_cell_length_c 45.4828
_cell_angle_alpha 90.00
_cell_angle_beta 90.00
_cell_angle_gamma 120.00
loop_
_atom_site_label
_atom_site_type_symbol
_atom_site_fract_x
_atom_site_fract_y
_atom_site_fract_z
Tb1 Tb 0.0000 0.0000 0.1038
Tb2 Tb 0.0000 0.0000 0.3021
Pm1 Pm 0.0000 0.0000 0.5000
Pd1 Pd 0.0000 0.0000 0.4008
```

Record 2
The following is a theoretical XRD peak list of TbPm2Pd. It was derived from a DFT-relaxed cell (GGA-PBE, Alexandria), using Cu Ka.

Principal peaks in the range 10° ≤ 2θ ≤ 90°, most intense first:
2θ = 30.37°, 2.943 Å, rel. 100; 2θ = 33.31°, 2.690 Å, rel. 94; 2θ = 31.12°, 2.874 Å, rel. 75; 2θ = 57.46°, 1.604 Å, rel. 59; 2θ = 36.79°, 2.443 Å, rel. 54; 2θ = 31.99°, 2.798 Å, rel. 31

```
data_TbPm2Pd
_chemical_formula_sum 'Tb4 Pm8 Pd4'
_symmetry_space_group_name_H-M 'C m c m'
_symmetry_Int_Tables_number 63
_symmetry_space_group_name_Hall '-C 2c 2'
_cell_length_a 3.8658
_cell_length_b 12.1604
_cell_length_c 9.7856
_cell_angle_alpha 90.00
_cell_angle_beta 90.00
_cell_angle_gamma 90.00
loop_
_atom_site_label
_atom_site_type_symbol
_atom_site_fract_x
_atom_site_fract_y
_atom_site_fract_z
Tb1 Tb 0.0000 0.0725 0.2500
Pm1 Pm 0.0000 0.3647 0.0603
Pd1 Pd 0.0000 0.2355 0.7500
```